Starting from a structure optimized by DFT (PBE+U), the powder X-ray diffraction pattern of Li3V2S2O8F6 was calculated for Cu Ka.
Lines closer than 0.1° are merged.

Top 6 peaks for 2θ from 10° to 90°, in order of falling intensity:
2θ/deg	intensity
17.1	100
28.7	43
14.0	35
18.7	26
14.4	18
18.9	18

Crystal structure
```
42
Lattice="7.154 0.000 0.000 -0.075 7.829 0.000 -0.131 -0.295 10.364" Properties=species:S:1:pos:R:3 pbc="T T T"
Li 0.000 0.000 0.000
Li 0.006 3.889 0.244
Li 0.400 3.774 5.234
Li 0.484 -0.109 5.403
Li 3.809 1.298 5.767
Li 4.047 5.426 0.656
V 2.053 0.486 2.764
V 1.959 4.321 7.994
V 5.638 0.549 2.802
V 5.538 4.253 7.945
S 0.169 5.688 2.843
S 0.204 1.629 8.017
S 3.709 3.135 2.924
S 3.911 6.901 8.124
O 0.762 4.924 1.754
O 0.815 0.800 9.046
O 1.178 6.593 3.529
O 1.247 2.568 7.378
O 2.727 2.247 2.187
O 2.760 5.973 8.630
O 3.091 3.751 4.076
O 3.412 0.045 7.205
O 4.331 4.031 1.957
O 4.560 7.431 9.301
O 4.820 2.175 3.475
O 4.857 6.001 7.350
O 6.275 6.621 2.193
O 6.336 2.524 8.705
O 6.706 4.874 3.882
O 6.774 0.875 6.914
F 0.239 1.346 3.092
F 0.203 5.119 8.193
F 1.561 7.697 1.029
F 1.768 4.863 6.255
F 1.756 3.747 9.738
F 2.281 0.847 4.695
F 3.667 3.476 7.810
F 3.852 7.541 2.552
F 5.362 4.632 9.877
F 5.775 -0.048 4.555
F 5.890 1.151 1.093
F 5.926 3.616 6.209
```

Starting from a structure optimized by DFT (PBE+U), the powder X-ray diffraction pattern of NaLaMnWO6 was calculated for Cu Ka.
Lines closer than 0.1° are merged.

Top 6 peaks for 2θ from 10° to 90°, in order of falling intensity:
2θ/deg	intensity
31.3	100
19.0	50
55.6	40
44.8	33
36.8	27
65.2	20

Crystal structure
```
10
Lattice="0.000 4.046 4.046 4.046 0.000 4.046 4.046 4.046 0.000" Properties=species:S:1:pos:R:3 pbc="T T T"
Na 0.000 0.000 0.000
La 4.046 4.046 4.046
Mn 2.023 2.023 2.023
W 6.068 6.068 6.068
O 6.068 6.068 4.131
O 6.068 4.131 6.068
O 8.006 6.068 6.068
O 4.131 6.068 6.068
O 6.068 8.006 6.068
O 6.068 6.068 8.006
```

Starting from a structure optimized by DFT (PBE+U), the powder X-ray diffraction pattern of Li4Mn3Nb2Co3O16 was calculated for Cu Ka.
Lines closer than 0.1° are merged.

Top 6 peaks for 2θ from 10° to 90°, in order of falling intensity:
2θ/deg	intensity
19.5	100
35.0	43
18.3	42
35.5	41
19.7	39
19.8	35

Crystal structure
```
28
Lattice="5.872 0.000 0.000 2.918 5.203 0.000 0.038 0.235 9.704" Properties=species:S:1:pos:R:3 pbc="T T T"
Li 0.000 0.000 0.000
Li 2.919 5.189 4.824
Li 2.955 1.744 3.978
Li 5.907 3.725 8.803
Mn 1.506 0.987 7.018
Mn 4.410 0.990 7.023
Mn 5.865 1.805 2.159
Nb 2.917 1.887 0.009
Nb 5.879 3.517 4.837
Co 2.949 3.520 7.005
Co 4.445 4.373 2.158
Co 7.291 4.362 2.142
O 2.942 5.254 7.870
O 1.688 2.786 8.252
O 1.420 0.984 0.946
O 2.866 3.534 1.007
O 2.957 1.842 6.041
O 4.363 4.217 5.796
O 4.228 2.798 8.259
O 2.962 0.388 8.219
O 5.942 5.008 3.491
O 4.617 2.598 3.362
O 4.445 0.984 0.955
O 5.928 3.460 1.172
O 5.892 1.692 5.844
O 7.400 4.202 5.818
O 7.144 2.582 3.350
O 8.737 5.266 2.984
```

Starting from a structure optimized by DFT (PBE+U), the powder X-ray diffraction pattern of ZnFeO3 was calculated for Cu Ka.
Lines closer than 0.1° are merged.

Top 6 peaks for 2θ from 10° to 90°, in order of falling intensity:
2θ/deg	intensity
29.7	100
35.3	98
33.6	83
34.1	65
60.9	48
62.1	42

Crystal structure
```
20
Lattice="4.837 -4.467 0.000 4.837 4.467 0.000 -0.711 0.000 5.264" Properties=species:S:1:pos:R:3 pbc="T T T"
Zn 1.569 0.848 1.582
Zn 1.214 -0.848 4.214
Zn 7.749 0.848 1.050
Zn 7.394 -0.848 3.682
Fe 4.659 2.367 1.316
Fe 4.304 0.782 3.948
Fe 4.659 -0.782 1.316
Fe 4.304 -2.367 3.948
O 0.810 0.884 3.389
O 3.205 2.143 4.782
O 1.165 -0.884 0.757
O 3.520 0.735 1.998
O 5.403 2.143 3.114
O 3.165 -0.735 4.630
O 5.798 0.735 0.634
O 3.560 -2.143 2.150
O 5.442 -0.735 3.266
O 7.797 0.884 4.507
O 5.758 -2.143 0.482
O 8.153 -0.884 1.875
```

Starting from a structure optimized by DFT (PBE+U), the powder X-ray diffraction pattern of VF5 was calculated for Cu Ka.
Lines closer than 0.1° are merged.

Top 6 peaks for 2θ from 10° to 90°, in order of falling intensity:
2θ/deg	intensity
20.8	100
19.5	93
15.0	76
25.0	22
25.0	22
28.8	22

Crystal structure
```
48
Lattice="5.343 0.000 0.000 0.000 18.178 0.000 -5.330 0.000 7.780" Properties=species:S:1:pos:R:3 pbc="T T T"
V -1.398 2.200 2.946
V -4.063 6.889 6.836
V 1.275 2.271 0.209
V -1.390 6.818 4.098
V 1.403 11.360 3.681
V -1.261 15.907 7.571
V 4.076 11.289 0.944
V 1.411 15.978 4.833
F -1.070 12.872 1.718
F -3.735 14.395 5.607
F -2.958 11.694 5.075
F -0.293 15.573 1.185
F -0.281 1.771 1.281
F -2.945 7.318 5.170
F -2.378 2.490 4.352
F 0.286 6.599 0.462
F -1.253 0.453 3.169
F -3.918 8.636 7.059
F -3.921 0.538 7.697
F -1.256 8.551 3.808
F 0.304 10.834 2.015
F -2.361 16.433 5.905
F 1.081 3.828 1.033
F -1.584 5.260 4.923
F -2.532 2.718 7.260
F 0.133 6.371 3.370
F 0.116 2.630 3.704
F -2.549 6.459 7.594
F 2.562 11.719 0.185
F -0.102 15.548 4.075
F -0.120 11.807 4.409
F 2.545 15.460 0.519
F 1.597 12.917 2.857
F -1.067 14.349 6.747
F 2.374 1.745 1.875
F -0.290 7.344 5.765
F 1.269 9.627 3.972
F 3.934 17.640 0.082
F 3.931 9.542 0.720
F 1.266 17.725 4.610
F -0.273 11.579 7.318
F 2.392 15.688 3.428
F 2.959 10.860 2.609
F 0.294 16.407 6.499
F 0.306 2.605 6.594
F 2.971 6.484 2.705
F 3.748 3.783 2.172
F 1.083 5.306 6.062
```

Starting from a structure optimized by DFT (PBE+U), the powder X-ray diffraction pattern of Li4MnCr5O12 was calculated for Cu Ka.
Lines closer than 0.1° are merged.

Top 6 peaks for 2θ from 10° to 90°, in order of falling intensity:
2θ/deg	intensity
17.6	100
39.4	20
44.4	18
44.5	18
58.2	17
63.5	16

Crystal structure
```
22
Lattice="2.565 -4.431 0.000 2.565 4.431 0.000 -0.025 0.000 10.103" Properties=species:S:1:pos:R:3 pbc="T T T"
Li 2.046 2.218 7.584
Li 3.059 2.218 2.519
Li 2.046 -2.218 7.584
Li 3.059 -2.218 2.519
Mn -0.013 0.000 5.052
Cr 2.565 2.968 0.000
Cr 2.552 1.448 5.052
Cr 2.565 0.000 0.000
Cr 2.552 -1.448 5.052
Cr 2.565 -2.968 0.000
O 1.730 2.956 3.990
O 1.722 1.522 1.080
O 0.844 0.000 9.147
O 1.636 0.000 4.054
O 3.375 2.956 6.114
O 3.383 1.522 9.024
O 1.722 -1.522 1.080
O 1.730 -2.956 3.990
O 3.468 0.000 6.049
O 4.260 0.000 0.956
O 3.383 -1.522 9.024
O 3.375 -2.956 6.114
```